1.
This entry pairs a crystal structure of TmGe2Os with its calculated XRD peak list. Radiation: Cu Kα (λ = 1.5418 Å). Structure: a crystal structure in the Materials Project, relaxed with GGA-PBE.
Peak positions follow from Bragg's law for the DFT cell and can differ from measured ones.

Cell and atoms:
```
data_TmGe2Os
_space_group_name_H-M_alt 'P 1'
_space_group_IT_number 1
_cell_length_a 9.627
_cell_length_b 10.568
_cell_length_c 8.360
_cell_angle_alpha 90.00
_cell_angle_beta 90.00
_cell_angle_gamma 90.00
loop_
_space_group_symop_operation_xyz
'x,y,z'
loop_
_atom_site_label
_atom_site_type_symbol
_atom_site_fract_x
_atom_site_fract_y
_atom_site_fract_z
_atom_site_occupancy
Tm1 Tm 0.164 0.177 0.000 1
Tm2 Tm 0.177 0.449 0.245 1
Tm3 Tm 0.177 0.449 0.755 1
Tm4 Tm 0.323 0.949 0.245 1
Tm5 Tm 0.323 0.949 0.755 1
Tm6 Tm 0.336 0.677 0.000 1
Tm7 Tm 0.664 0.323 0.000 1
Tm8 Tm 0.677 0.051 0.245 1
Tm9 Tm 0.677 0.051 0.755 1
Tm10 Tm 0.823 0.551 0.245 1
Tm11 Tm 0.823 0.551 0.755 1
Tm12 Tm 0.836 0.823 0.000 1
Ge1 Ge 0.036 0.618 0.000 1
Ge2 Ge 0.045 0.618 0.500 1
Ge3 Ge 0.128 0.904 0.500 1
Ge4 Ge 0.130 0.899 0.000 1
Ge5 Ge 0.158 0.180 0.348 1
Ge6 Ge 0.158 0.180 0.652 1
Ge7 Ge 0.342 0.680 0.348 1
Ge8 Ge 0.342 0.680 0.652 1
Ge9 Ge 0.370 0.399 0.000 1
Ge10 Ge 0.372 0.404 0.500 1
Ge11 Ge 0.455 0.118 0.500 1
Ge12 Ge 0.464 0.118 0.000 1
Ge13 Ge 0.536 0.882 0.000 1
Ge14 Ge 0.545 0.882 0.500 1
Ge15 Ge 0.628 0.596 0.500 1
Ge16 Ge 0.630 0.601 0.000 1
Ge17 Ge 0.658 0.320 0.348 1
Ge18 Ge 0.658 0.320 0.652 1
Ge19 Ge 0.842 0.820 0.348 1
Ge20 Ge 0.842 0.820 0.652 1
Ge21 Ge 0.870 0.101 0.000 1
Ge22 Ge 0.872 0.096 0.500 1
Ge23 Ge 0.955 0.382 0.500 1
Ge24 Ge 0.964 0.382 0.000 1
Os1 Os 0.000 0.000 0.249 1
Os2 Os 0.000 0.000 0.751 1
Os3 Os 0.089 0.737 0.251 1
Os4 Os 0.089 0.737 0.749 1
Os5 Os 0.411 0.237 0.251 1
Os6 Os 0.411 0.237 0.749 1
Os7 Os 0.500 0.500 0.249 1
Os8 Os 0.500 0.500 0.751 1
Os9 Os 0.589 0.763 0.251 1
Os10 Os 0.589 0.763 0.749 1
Os11 Os 0.911 0.263 0.251 1
Os12 Os 0.911 0.263 0.749 1
```

Largest 6 diffraction maxima, in order of rising 2θ, 2θ from 5° to 70°:
2θ = 35.23°, rel. 321
2θ = 36.30°, rel. 693
2θ = 37.93°, rel. 349
2θ = 38.31°, rel. 1000
2θ = 40.39°, rel. 432
2θ = 43.29°, rel. 310

---

2.
This entry pairs a crystal structure of U4Ge6Os7 with its calculated XRD peak list. Radiation: Cu Kα (λ = 1.5418 Å). Structure: a crystal structure in the Materials Project, relaxed with GGA-PBE.
Peak positions follow from Bragg's law for the DFT cell and can differ from measured ones.

Cell and atoms:
```
data_U4Ge6Os7
_space_group_name_H-M_alt 'P 1'
_space_group_IT_number 1
_cell_length_a 7.224
_cell_length_b 7.224
_cell_length_c 7.224
_cell_angle_alpha 109.47
_cell_angle_beta 109.47
_cell_angle_gamma 109.47
loop_
_space_group_symop_operation_xyz
'x,y,z'
loop_
_atom_site_label
_atom_site_type_symbol
_atom_site_fract_x
_atom_site_fract_y
_atom_site_fract_z
_atom_site_occupancy
U1 U 0.000 0.000 0.500 1
U2 U 0.000 0.500 0.000 1
U3 U 0.500 0.000 0.000 1
U4 U 0.500 0.500 0.500 1
Ge1 Ge 0.000 0.308 0.308 1
Ge2 Ge 0.000 0.692 0.692 1
Ge3 Ge 0.308 0.000 0.308 1
Ge4 Ge 0.308 0.308 0.000 1
Ge5 Ge 0.692 0.000 0.692 1
Ge6 Ge 0.692 0.692 0.000 1
Os1 Os 0.000 0.000 0.000 1
Os2 Os 0.250 0.500 0.750 1
Os3 Os 0.250 0.750 0.500 1
Os4 Os 0.500 0.250 0.750 1
Os5 Os 0.500 0.750 0.250 1
Os6 Os 0.750 0.250 0.500 1
Os7 Os 0.750 0.500 0.250 1
```

Largest 6 diffraction maxima, in order of rising 2θ, 2θ from 5° to 70°:
2θ = 26.17°, rel. 180
2θ = 30.31°, rel. 228
2θ = 37.34°, rel. 1000
2θ = 40.46°, rel. 281
2θ = 43.39°, rel. 669
2θ = 63.04°, rel. 405

---

3.
This entry pairs a crystal structure of V6GeOs with its calculated XRD peak list. Radiation: Cu Kα (λ = 1.5418 Å). Structure: a crystal structure in the Materials Project, relaxed with GGA-PBE.
Peak positions follow from Bragg's law for the DFT cell and can differ from measured ones.

Cell and atoms:
```
data_V6GeOs
_space_group_name_H-M_alt 'P 1'
_space_group_IT_number 1
_cell_length_a 4.775
_cell_length_b 4.775
_cell_length_c 4.775
_cell_angle_alpha 90.00
_cell_angle_beta 90.00
_cell_angle_gamma 90.00
loop_
_space_group_symop_operation_xyz
'x,y,z'
loop_
_atom_site_label
_atom_site_type_symbol
_atom_site_fract_x
_atom_site_fract_y
_atom_site_fract_z
_atom_site_occupancy
V1 V 0.000 0.248 0.500 1
V2 V 0.000 0.752 0.500 1
V3 V 0.248 0.500 0.000 1
V4 V 0.500 0.000 0.248 1
V5 V 0.500 0.000 0.752 1
V6 V 0.752 0.500 0.000 1
Ge1 Ge 0.500 0.500 0.500 1
Os1 Os 0.000 0.000 0.000 1
```

Largest 6 diffraction maxima, in order of rising 2θ, 2θ from 5° to 70°:
2θ = 18.58°, rel. 251
2θ = 26.40°, rel. 451
2θ = 37.68°, rel. 463
2θ = 42.33°, rel. 525
2θ = 46.59°, rel. 1000
2θ = 61.41°, rel. 98

---

4.
This entry pairs a crystal structure of Y3Ge13Os4 with its calculated XRD peak list. Radiation: Cu Kα (λ = 1.5418 Å). Structure: a crystal structure in the Materials Project, relaxed with GGA-PBE.
Peak positions follow from Bragg's law for the DFT cell and can differ from measured ones.

Cell and atoms:
```
data_Y3Ge13Os4
_space_group_name_H-M_alt 'P 1'
_space_group_IT_number 1
_cell_length_a 9.093
_cell_length_b 9.093
_cell_length_c 9.093
_cell_angle_alpha 90.00
_cell_angle_beta 90.00
_cell_angle_gamma 90.00
loop_
_space_group_symop_operation_xyz
'x,y,z'
loop_
_atom_site_label
_atom_site_type_symbol
_atom_site_fract_x
_atom_site_fract_y
_atom_site_fract_z
_atom_site_occupancy
Y1 Y 0.000 0.250 0.500 1
Y2 Y 0.000 0.750 0.500 1
Y3 Y 0.250 0.500 0.000 1
Y4 Y 0.500 0.000 0.250 1
Y5 Y 0.500 0.000 0.750 1
Y6 Y 0.750 0.500 0.000 1
Ge1 Ge 0.000 0.000 0.000 1
Ge2 Ge 0.000 0.298 0.145 1
Ge3 Ge 0.000 0.298 0.855 1
Ge4 Ge 0.000 0.702 0.145 1
Ge5 Ge 0.000 0.702 0.855 1
Ge6 Ge 0.145 0.000 0.298 1
Ge7 Ge 0.145 0.000 0.702 1
Ge8 Ge 0.202 0.500 0.355 1
Ge9 Ge 0.202 0.500 0.645 1
Ge10 Ge 0.298 0.145 0.000 1
Ge11 Ge 0.298 0.855 0.000 1
Ge12 Ge 0.355 0.202 0.500 1
Ge13 Ge 0.355 0.798 0.500 1
Ge14 Ge 0.500 0.355 0.202 1
Ge15 Ge 0.500 0.355 0.798 1
Ge16 Ge 0.500 0.500 0.500 1
Ge17 Ge 0.500 0.645 0.202 1
Ge18 Ge 0.500 0.645 0.798 1
Ge19 Ge 0.645 0.202 0.500 1
Ge20 Ge 0.645 0.798 0.500 1
Ge21 Ge 0.702 0.145 0.000 1
Ge22 Ge 0.702 0.855 0.000 1
Ge23 Ge 0.798 0.500 0.355 1
Ge24 Ge 0.798 0.500 0.645 1
Ge25 Ge 0.855 0.000 0.298 1
Ge26 Ge 0.855 0.000 0.702 1
Os1 Os 0.250 0.250 0.250 1
Os2 Os 0.250 0.250 0.750 1
Os3 Os 0.250 0.750 0.250 1
Os4 Os 0.250 0.750 0.750 1
Os5 Os 0.750 0.250 0.250 1
Os6 Os 0.750 0.250 0.750 1
Os7 Os 0.750 0.750 0.250 1
Os8 Os 0.750 0.750 0.750 1
```

Largest 6 diffraction maxima, in order of rising 2θ, 2θ from 5° to 70°:
2θ = 19.52°, rel. 889
2θ = 34.16°, rel. 468
2θ = 35.60°, rel. 1000
2θ = 39.65°, rel. 636
2θ = 44.56°, rel. 631
2θ = 49.08°, rel. 872

---

5.
This entry pairs a crystal structure of Y5Ge10Os4 with its calculated XRD peak list. Radiation: Cu Kα (λ = 1.5418 Å). Structure: a crystal structure in the Materials Project, relaxed with GGA-PBE.
Peak positions follow from Bragg's law for the DFT cell and can differ from measured ones.

Cell and atoms:
```
data_Y5Ge10Os4
_space_group_name_H-M_alt 'P 1'
_space_group_IT_number 1
_cell_length_a 13.204
_cell_length_b 13.204
_cell_length_c 4.288
_cell_angle_alpha 90.00
_cell_angle_beta 90.00
_cell_angle_gamma 90.00
loop_
_space_group_symop_operation_xyz
'x,y,z'
loop_
_atom_site_label
_atom_site_type_symbol
_atom_site_fract_x
_atom_site_fract_y
_atom_site_fract_z
_atom_site_occupancy
Y1 Y 0.000 0.000 0.000 1
Y2 Y 0.117 0.383 0.500 1
Y3 Y 0.172 0.672 0.500 1
Y4 Y 0.328 0.172 0.500 1
Y5 Y 0.383 0.883 0.500 1
Y6 Y 0.500 0.500 0.000 1
Y7 Y 0.617 0.117 0.500 1
Y8 Y 0.672 0.828 0.500 1
Y9 Y 0.828 0.328 0.500 1
Y10 Y 0.883 0.617 0.500 1
Ge1 Ge 0.008 0.842 0.500 1
Ge2 Ge 0.067 0.567 0.000 1
Ge3 Ge 0.158 0.008 0.500 1
Ge4 Ge 0.164 0.198 0.000 1
Ge5 Ge 0.198 0.836 0.000 1
Ge6 Ge 0.302 0.336 0.000 1
Ge7 Ge 0.336 0.698 0.000 1
Ge8 Ge 0.342 0.508 0.500 1
Ge9 Ge 0.433 0.067 0.000 1
Ge10 Ge 0.492 0.342 0.500 1
Ge11 Ge 0.508 0.658 0.500 1
Ge12 Ge 0.567 0.933 0.000 1
Ge13 Ge 0.658 0.492 0.500 1
Ge14 Ge 0.664 0.302 0.000 1
Ge15 Ge 0.698 0.664 0.000 1
Ge16 Ge 0.802 0.164 0.000 1
Ge17 Ge 0.836 0.802 0.000 1
Ge18 Ge 0.842 0.992 0.500 1
Ge19 Ge 0.933 0.433 0.000 1
Ge20 Ge 0.992 0.158 0.500 1
Os1 Os 0.018 0.753 0.000 1
Os2 Os 0.247 0.018 0.000 1
Os3 Os 0.253 0.518 0.000 1
Os4 Os 0.482 0.253 0.000 1
Os5 Os 0.518 0.747 0.000 1
Os6 Os 0.747 0.482 0.000 1
Os7 Os 0.753 0.982 0.000 1
Os8 Os 0.982 0.247 0.000 1
```

Largest 6 diffraction maxima, in order of rising 2θ, 2θ from 5° to 70°:
2θ = 19.01°, rel. 658
2θ = 34.28°, rel. 1000
2θ = 35.65°, rel. 721
2θ = 42.15°, rel. 623
2θ = 43.34°, rel. 397
2θ = 48.50°, rel. 518

---

6.
This entry pairs a crystal structure of ZrGeOs with its calculated XRD peak list. Radiation: Cu Kα (λ = 1.5418 Å). Structure: a crystal structure in the Materials Project, relaxed with GGA-PBE.
Peak positions follow from Bragg's law for the DFT cell and can differ from measured ones.

Cell and atoms:
```
data_ZrGeOs
_space_group_name_H-M_alt 'P 1'
_space_group_IT_number 1
_cell_length_a 6.767
_cell_length_b 6.767
_cell_length_c 3.828
_cell_angle_alpha 90.00
_cell_angle_beta 90.00
_cell_angle_gamma 120.00
loop_
_space_group_symop_operation_xyz
'x,y,z'
loop_
_atom_site_label
_atom_site_type_symbol
_atom_site_fract_x
_atom_site_fract_y
_atom_site_fract_z
_atom_site_occupancy
Zr1 Zr 0.000 0.414 0.000 1
Zr2 Zr 0.414 0.000 0.000 1
Zr3 Zr 0.586 0.586 0.000 1
Ge1 Ge 0.000 0.000 0.000 1
Ge2 Ge 0.333 0.667 0.500 1
Ge3 Ge 0.667 0.333 0.500 1
Os1 Os 0.000 0.756 0.500 1
Os2 Os 0.244 0.244 0.500 1
Os3 Os 0.756 0.000 0.500 1
```

Largest 6 diffraction maxima, in order of rising 2θ, 2θ from 5° to 70°:
2θ = 15.12°, rel. 230
2θ = 35.40°, rel. 1000
2θ = 38.70°, rel. 722
2θ = 40.73°, rel. 740
2θ = 47.45°, rel. 801
2θ = 64.32°, rel. 386

---

7.
This entry pairs a crystal structure of Rb5GeP3 with its calculated XRD peak list. Radiation: Cu Kα (λ = 1.5418 Å). Structure: a crystal structure in the Materials Project, relaxed with GGA-PBE.
Peak positions follow from Bragg's law for the DFT cell and can differ from measured ones.

Cell and atoms:
```
data_Rb5GeP3
_space_group_name_H-M_alt 'P 1'
_space_group_IT_number 1
_cell_length_a 15.713
_cell_length_b 5.493
_cell_length_c 14.981
_cell_angle_alpha 90.00
_cell_angle_beta 90.00
_cell_angle_gamma 90.00
loop_
_space_group_symop_operation_xyz
'x,y,z'
loop_
_atom_site_label
_atom_site_type_symbol
_atom_site_fract_x
_atom_site_fract_y
_atom_site_fract_z
_atom_site_occupancy
Rb1 Rb 0.015 0.250 0.119 1
Rb2 Rb 0.067 0.250 0.428 1
Rb3 Rb 0.084 0.250 0.684 1
Rb4 Rb 0.196 0.750 0.060 1
Rb5 Rb 0.235 0.750 0.770 1
Rb6 Rb 0.265 0.250 0.270 1
Rb7 Rb 0.304 0.250 0.560 1
Rb8 Rb 0.416 0.750 0.184 1
Rb9 Rb 0.433 0.750 0.928 1
Rb10 Rb 0.485 0.750 0.619 1
Rb11 Rb 0.515 0.250 0.381 1
Rb12 Rb 0.567 0.250 0.072 1
Rb13 Rb 0.584 0.250 0.816 1
Rb14 Rb 0.696 0.750 0.440 1
Rb15 Rb 0.735 0.750 0.730 1
Rb16 Rb 0.765 0.250 0.230 1
Rb17 Rb 0.804 0.250 0.940 1
Rb18 Rb 0.916 0.750 0.316 1
Rb19 Rb 0.933 0.750 0.572 1
Rb20 Rb 0.985 0.750 0.881 1
Ge1 Ge 0.220 0.750 0.419 1
Ge2 Ge 0.280 0.250 0.919 1
Ge3 Ge 0.720 0.750 0.081 1
Ge4 Ge 0.780 0.250 0.581 1
P1 P 0.133 0.250 0.911 1
P2 P 0.137 0.750 0.292 1
P3 P 0.155 0.750 0.556 1
P4 P 0.345 0.250 0.056 1
P5 P 0.363 0.250 0.792 1
P6 P 0.367 0.750 0.411 1
P7 P 0.633 0.250 0.589 1
P8 P 0.637 0.750 0.208 1
P9 P 0.655 0.750 0.944 1
P10 P 0.845 0.250 0.444 1
P11 P 0.863 0.250 0.708 1
P12 P 0.867 0.750 0.089 1
```

Largest 6 diffraction maxima, in order of rising 2θ, 2θ from 5° to 70°:
2θ = 26.36°, rel. 197
2θ = 26.66°, rel. 1000
2θ = 27.92°, rel. 588
2θ = 28.56°, rel. 229
2θ = 29.42°, rel. 306
2θ = 32.60°, rel. 472

---

8.
This entry pairs a crystal structure of ZnGeP2 with its calculated XRD peak list. Radiation: Cu Kα (λ = 1.5418 Å). Structure: a crystal structure in the Materials Project, relaxed with GGA-PBE.
Peak positions follow from Bragg's law for the DFT cell and can differ from measured ones.

Cell and atoms:
```
data_ZnGeP2
_space_group_name_H-M_alt 'P 1'
_space_group_IT_number 1
_cell_length_a 3.847
_cell_length_b 3.847
_cell_length_c 5.516
_cell_angle_alpha 90.00
_cell_angle_beta 90.00
_cell_angle_gamma 90.00
loop_
_space_group_symop_operation_xyz
'x,y,z'
loop_
_atom_site_label
_atom_site_type_symbol
_atom_site_fract_x
_atom_site_fract_y
_atom_site_fract_z
_atom_site_occupancy
Zn1 Zn 0.000 0.000 0.000 1
Ge1 Ge 0.500 0.500 0.500 1
P1 P 0.000 0.500 0.246 1
P2 P 0.500 0.000 0.754 1
```

Largest 6 diffraction maxima, in order of rising 2θ, 2θ from 5° to 70°:
2θ = 28.28°, rel. 1000
2θ = 32.93°, rel. 95
2θ = 46.91°, rel. 406
2θ = 47.26°, rel. 198
2θ = 55.38°, rel. 143
2θ = 55.99°, rel. 277